(1)
# Sr2In4Ag5
Computed X-ray powder pattern, copper Kα. Input: a PBE-relaxed structure.
Peak positions follow from Bragg's law for the DFT cell and can differ from measured ones.

Largest 10 diffraction maxima, in order of rising 2θ, 10° ≤ 2θ ≤ 90°:
two_theta  d [Å]  intensity
17.1  5.189  391
17.5  5.060  434
30.1  2.970  406
33.3  2.687  1000
34.0  2.639  382
35.6  2.525  991
39.7  2.270  555
40.2  2.242  416
40.5  2.228  450
61.6  1.506  284

abc: 10.311 9.422 6.026
angles: 80.48 64.32 35.20
Element x y z (fractional)
Sr  0.147  0.147  0.853
Sr  0.853  0.853  0.147
In  0.215  0.528  0.472
In  0.472  0.785  0.215
In  0.528  0.215  0.785
In  0.785  0.472  0.528
Ag  0.000  0.000  0.500
Ag  0.250  0.250  0.250
Ag  0.500  0.500  0.000
Ag  0.500  0.500  0.500
Ag  0.750  0.750  0.750

***

(2)
# Er8Tm3Mg
Computed X-ray powder pattern, copper Kα. Input: a PBE-relaxed structure.
Peak positions follow from Bragg's law for the DFT cell and can differ from measured ones.

Largest 10 diffraction maxima, in order of rising 2θ, 10° ≤ 2θ ≤ 90°:
two_theta  d [Å]  intensity
30.8  2.904  437
31.6  2.834  502
32.4  2.765  1000
33.7  2.657  946
47.9  1.899  136
49.0  1.860  190
52.4  1.746  145
59.4  1.556  179
63.0  1.476  301
63.8  1.460  130

abc: 12.579 12.579 8.514
angles: 102.98 102.98 15.96
Element x y z (fractional)
Er  0.000  0.000  0.000
Er  0.150  0.150  0.685
Er  0.192  0.192  0.309
Er  0.330  0.330  0.366
Er  0.369  0.369  0.981
Er  0.518  0.518  0.664
Er  0.572  0.572  0.339
Er  0.947  0.947  0.323
Tm  0.617  0.617  0.992
Tm  0.751  0.751  0.029
Tm  0.771  0.771  0.645
Mg  0.903  0.903  0.674

***

(3)
# LiGa5Au6
Computed X-ray powder pattern, copper Kα. Input: a PBE-relaxed structure.
Peak positions follow from Bragg's law for the DFT cell and can differ from measured ones.

Largest 10 diffraction maxima, in order of rising 2θ, 10° ≤ 2θ ≤ 90°:
two_theta  d [Å]  intensity
25.1  3.551  922
28.5  3.132  358
32.1  2.792  759
33.2  2.701  942
34.2  2.621  989
35.3  2.539  1000
40.8  2.212  494
42.9  2.106  515
46.3  1.961  348
47.2  1.927  294

abc: 6.051 6.361 6.753
angles: 110.54 110.78 90.76
Element x y z (fractional)
Li  0.000  0.000  0.000
Ga  0.045  0.403  0.685
Ga  0.489  0.757  0.895
Ga  0.500  0.000  0.500
Ga  0.511  0.243  0.105
Ga  0.955  0.597  0.315
Au  0.178  0.988  0.698
Au  0.280  0.620  0.128
Au  0.287  0.332  0.407
Au  0.713  0.668  0.593
Au  0.720  0.380  0.872
Au  0.822  0.012  0.302